Entry 1:
For Hf4SbAu, a GGA-PBE-relaxed structure gives the simulated powder diffraction line list in this record (a wavelength of 1.5418 Å).
Kinematic intensities with the Lorentz-polarization factor, no thermal factor.

Main lines, most intense first (2θ from 10° to 90°):
- d 2.479, 2θ 36.24, intensity 100
- d 2.433, 2θ 36.94, intensity 63
- d 2.500, 2θ 35.92, intensity 34
- d 1.795, 2θ 50.88, intensity 13
- d 1.448, 2θ 64.34, intensity 13
- d 1.441, 2θ 64.69, intensity 12
- d 1.422, 2θ 65.68, intensity 12
- d 1.415, 2θ 66.02, intensity 12
- d 1.409, 2θ 66.34, intensity 12
- d 1.412, 2θ 66.17, intensity 12
- d 1.730, 2θ 52.92, intensity 11
- d 1.711, 2θ 53.55, intensity 11

Crystal structure
Unit cell a=5.004 b=10.268 c=4.968 alpha=90.00 beta=92.10 gamma=90.00
Space group C2/m (No. 12)
Symmetry-distinct sites (fractional):
Hf 0.000 0.163 0.000 [4 per cell]
Hf 0.000 0.336 0.500 [4 per cell]
Sb 0.000 0.500 0.000 [2 per cell]
Au 0.000 0.000 0.500 [2 per cell]

---

Entry 2:
For Ba2Mg3Cd6, a GGA-PBE-relaxed structure gives the simulated powder diffraction line list in this record (a wavelength of 1.5418 Å).
Kinematic intensities with the Lorentz-polarization factor, no thermal factor.

Main lines, most intense first (2θ from 10° to 90°):
- d 3.018, 2θ 29.60, intensity 100
- d 3.634, 2θ 24.49, intensity 95
- d 2.817, 2θ 31.76, intensity 85
- d 3.145, 2θ 28.38, intensity 76
- d 2.354, 2θ 38.24, intensity 51
- d 4.708, 2θ 18.85, intensity 47
- d 1.806, 2θ 50.53, intensity 44
- d 2.418, 2θ 37.19, intensity 40
- d 1.914, 2θ 47.50, intensity 38
- d 2.029, 2θ 44.67, intensity 27
- d 3.767, 2θ 23.62, intensity 25
- d 2.600, 2θ 34.49, intensity 24

Crystal structure
Unit cell a=11.426 b=12.561 c=4.708 alpha=90.00 beta=90.00 gamma=90.00
Space group Cmmm (No. 65)
Symmetry-distinct sites (fractional):
Ba 0.000 0.208 0.000 [4 per cell]
Mg 0.000 0.500 0.500 [2 per cell]
Mg 0.196 0.500 0.000 [4 per cell]
Cd 0.122 0.000 0.500 [4 per cell]
Cd 0.190 0.347 0.500 [8 per cell]

---

Entry 3:
For Nd2InPtO6, a GGA-PBE-relaxed structure gives the simulated powder diffraction line list in this record (a wavelength of 1.5418 Å).
Kinematic intensities with the Lorentz-polarization factor, no thermal factor.

Main lines, most intense first (2θ from 10° to 90°):
- d 2.893, 2θ 30.91, intensity 100
- d 2.838, 2θ 31.52, intensity 85
- d 2.802, 2θ 31.94, intensity 41
- d 3.115, 2θ 28.66, intensity 37
- d 2.083, 2θ 43.44, intensity 28
- d 1.973, 2θ 46.01, intensity 21
- d 1.644, 2θ 55.91, intensity 19
- d 1.615, 2θ 57.04, intensity 18
- d 1.667, 2θ 55.11, intensity 14
- d 3.713, 2θ 23.97, intensity 12
- d 3.656, 2θ 24.35, intensity 12
- d 1.947, 2θ 46.65, intensity 12

Crystal structure
Unit cell a=5.605 b=6.230 c=9.564 alpha=90.00 beta=124.41 gamma=90.00
Space group P2_1/c (No. 14)
Symmetry-distinct sites (fractional):
Nd 0.226 0.083 0.252 [4 per cell]
In 0.500 0.000 0.000 [2 per cell]
Pt 0.000 0.000 0.500 [2 per cell]
O 0.127 0.172 0.936 [4 per cell]
O 0.254 0.682 0.945 [4 per cell]
O 0.371 0.052 0.739 [4 per cell]

---

Entry 4:
For Pa2IrRh4, a GGA-PBE-relaxed structure gives the simulated powder diffraction line list in this record (a wavelength of 1.5418 Å).
Kinematic intensities with the Lorentz-polarization factor, no thermal factor.

Main lines, most intense first (2θ from 10° to 90°):
- d 2.310, 2θ 38.99, intensity 100
- d 2.019, 2θ 44.88, intensity 17
- d 2.004, 2θ 45.26, intensity 17
- d 1.980, 2θ 45.84, intensity 15
- d 1.215, 2θ 78.79, intensity 13
- d 3.270, 2θ 27.28, intensity 13
- d 1.208, 2θ 79.33, intensity 13
- d 1.422, 2θ 65.64, intensity 11
- d 1.155, 2θ 83.73, intensity 11
- d 1.197, 2θ 80.17, intensity 10
- d 1.414, 2θ 66.09, intensity 10
- d 1.408, 2θ 66.38, intensity 10

Crystal structure
Unit cell a=7.919 b=8.078 c=4.007 alpha=90.00 beta=90.00 gamma=90.00
Space group Cmmm (No. 65)
Symmetry-distinct sites (fractional):
Pa 0.232 0.000 0.000 [4 per cell]
Ir 0.000 0.500 0.500 [2 per cell]
Rh 0.000 0.251 0.000 [4 per cell]
Rh 0.250 0.250 0.500 [4 per cell]

---

Entry 5:
For SnPbCl4, a GGA-PBE-relaxed structure gives the simulated powder diffraction line list in this record (a wavelength of 1.5418 Å).
Kinematic intensities with the Lorentz-polarization factor, no thermal factor.

Main lines, most intense first (2θ from 10° to 90°):
- d 4.108, 2θ 21.63, intensity 100
- d 2.147, 2θ 42.08, intensity 56
- d 2.517, 2θ 35.67, intensity 48
- d 3.558, 2θ 25.03, intensity 42
- d 2.142, 2θ 42.18, intensity 27
- d 1.591, 2θ 57.95, intensity 21
- d 3.182, 2θ 28.04, intensity 10
- d 1.371, 2θ 68.42, intensity 10
- d 2.509, 2θ 35.79, intensity 10
- d 2.051, 2θ 44.16, intensity 9
- d 1.455, 2θ 64.01, intensity 9
- d 2.058, 2θ 44.01, intensity 9

Crystal structure
Unit cell a=7.111 b=7.119 c=7.119 alpha=90.00 beta=90.28 gamma=90.00
Space group P2_1/c (No. 14)
Symmetry-distinct sites (fractional):
Sn 0.000 0.000 0.000 [2 per cell]
Pb 0.500 0.000 0.500 [2 per cell]
Cl 0.154 0.160 0.662 [4 per cell]
Cl 0.341 0.653 0.652 [4 per cell]

---

Entry 6:
For Zr2Zn3Au2, a GGA-PBE-relaxed structure gives the simulated powder diffraction line list in this record (a wavelength of 1.5418 Å).
Kinematic intensities with the Lorentz-polarization factor, no thermal factor.

Main lines, most intense first (2θ from 10° to 90°):
- d 2.457, 2θ 36.57, intensity 100
- d 2.518, 2θ 35.65, intensity 77
- d 2.232, 2θ 40.41, intensity 70
- d 2.476, 2θ 36.28, intensity 56
- d 2.370, 2θ 37.97, intensity 55
- d 1.662, 2θ 55.26, intensity 35
- d 1.300, 2θ 72.76, intensity 34
- d 3.057, 2θ 29.22, intensity 31
- d 1.725, 2θ 53.10, intensity 30
- d 1.365, 2θ 68.79, intensity 30
- d 2.014, 2θ 45.01, intensity 26
- d 2.601, 2θ 34.49, intensity 25

Crystal structure
Unit cell a=3.449 b=19.794 c=7.502 alpha=90.00 beta=90.00 gamma=90.00
Space group Cmcm (No. 63)
Symmetry-distinct sites (fractional):
Zr 0.000 0.060 0.250 [4 per cell]
Zr 0.000 0.147 0.750 [4 per cell]
Zn 0.000 0.240 0.250 [4 per cell]
Zn 0.000 0.450 0.085 [8 per cell]
Au 0.000 0.327 0.554 [8 per cell]

---

Entry 7:
For LiHfTlTe3, a GGA-PBE-relaxed structure gives the simulated powder diffraction line list in this record (a wavelength of 1.5418 Å).
Kinematic intensities with the Lorentz-polarization factor, no thermal factor.

Main lines, most intense first (2θ from 10° to 90°):
- d 3.096, 2θ 28.84, intensity 100
- d 3.044, 2θ 29.34, intensity 41
- d 1.967, 2θ 46.15, intensity 28
- d 4.422, 2θ 20.08, intensity 28
- d 2.098, 2θ 43.12, intensity 26
- d 2.753, 2θ 32.53, intensity 24
- d 3.202, 2θ 27.87, intensity 24
- d 2.315, 2θ 38.90, intensity 22
- d 2.621, 2θ 34.21, intensity 20
- d 3.845, 2θ 23.13, intensity 17
- d 4.802, 2θ 18.48, intensity 14
- d 2.802, 2θ 31.94, intensity 14

Crystal structure
Unit cell a=9.290 b=4.196 c=10.089 alpha=90.00 beta=107.82 gamma=90.00
Space group P2_1/m (No. 11)
Symmetry-distinct sites (fractional):
Li 0.075 0.250 0.102 [2 per cell]
Hf 0.319 0.750 0.340 [2 per cell]
Tl 0.211 0.250 0.762 [2 per cell]
Te 0.119 0.250 0.381 [2 per cell]
Te 0.236 0.750 0.046 [2 per cell]
Te 0.455 0.750 0.648 [2 per cell]

---

Entry 8:
For Dy2NiH, a GGA-PBE-relaxed structure gives the simulated powder diffraction line list in this record (a wavelength of 1.5418 Å).
Kinematic intensities with the Lorentz-polarization factor, no thermal factor.

Main lines, most intense first (2θ from 10° to 90°):
- d 2.470, 2θ 36.38, intensity 100
- d 2.996, 2θ 29.82, intensity 76
- d 3.103, 2θ 28.78, intensity 72
- d 2.113, 2θ 42.80, intensity 67
- d 1.813, 2θ 50.32, intensity 51
- d 3.331, 2θ 26.76, intensity 41
- d 1.593, 2θ 57.90, intensity 30
- d 1.227, 2θ 77.88, intensity 28
- d 1.462, 2θ 63.67, intensity 19
- d 1.138, 2θ 85.29, intensity 17
- d 1.096, 2θ 89.39, intensity 17
- d 1.376, 2θ 68.15, intensity 17

Crystal structure
Unit cell a=3.6264 b=3.6264 c=19.9861 alpha=90.00 beta=90.00 gamma=120.00
Space group R3m (No. 160, hexagonal axes)
Symmetry-distinct sites (fractional):
Dy 0.0000 0.0000 0.0000 [3 per cell]
Dy 0.0000 0.0000 0.1651 [3 per cell]
Ni 0.0000 0.0000 0.5829 [3 per cell]
H 0.0000 0.0000 0.4152 [3 per cell]

---

Entry 9:
For NaMgZnO2, a GGA-PBE-relaxed structure gives the simulated powder diffraction line list in this record (a wavelength of 1.5418 Å).
Kinematic intensities with the Lorentz-polarization factor, no thermal factor.

Main lines, most intense first (2θ from 10° to 90°):
- d 6.008, 2θ 14.75, intensity 100
- d 2.597, 2θ 34.54, intensity 47
- d 3.004, 2θ 29.74, intensity 27
- d 2.907, 2θ 30.76, intensity 19
- d 2.419, 2θ 37.18, intensity 16
- d 2.348, 2θ 38.33, intensity 15
- d 2.004, 2θ 45.24, intensity 13
- d 5.764, 2θ 15.37, intensity 12
- d 1.645, 2θ 55.91, intensity 12
- d 3.837, 2θ 23.18, intensity 11
- d 4.159, 2θ 21.36, intensity 11
- d 1.926, 2θ 47.20, intensity 10

Crystal structure
Unit cell a=6.561 b=5.764 c=5.820 alpha=90.00 beta=113.70 gamma=90.00
Space group P2/c (No. 13)
Symmetry-distinct sites (fractional):
Na 0.000 0.234 0.250 [2 per cell]
Mg 0.500 0.499 0.750 [2 per cell]
Zn 0.500 0.000 0.000 [2 per cell]
O 0.370 0.298 0.440 [4 per cell]

---

Entry 10:
For ThAlPt3, a GGA-PBE-relaxed structure gives the simulated powder diffraction line list in this record (a wavelength of 1.5418 Å).
Kinematic intensities with the Lorentz-polarization factor, no thermal factor.

Main lines, most intense first (2θ from 10° to 90°):
- d 2.916, 2θ 30.66, intensity 100
- d 2.588, 2θ 34.66, intensity 88
- d 2.345, 2θ 38.39, intensity 35
- d 2.032, 2θ 44.58, intensity 32
- d 2.834, 2θ 31.57, intensity 27
- d 2.486, 2θ 36.14, intensity 25
- d 2.210, 2θ 40.83, intensity 24
- d 2.630, 2θ 34.09, intensity 24
- d 2.004, 2θ 45.25, intensity 22
- d 1.680, 2θ 54.62, intensity 21
- d 1.911, 2θ 47.59, intensity 18
- d 1.844, 2θ 49.42, intensity 17

Crystal structure
Unit cell a=5.668 b=7.061 c=5.174 alpha=90.00 beta=90.00 gamma=90.00
Space group Pbam (No. 55)
Symmetry-distinct sites (fractional):
Th 0.000 0.000 0.000 [2 per cell]
Al 0.000 0.500 0.500 [2 per cell]
Pt 0.000 0.500 0.000 [2 per cell]
Pt 0.121 0.172 0.500 [4 per cell]

---

Entry 11:
For Sr2C2Cl, a GGA-PBE-relaxed structure gives the simulated powder diffraction line list in this record (a wavelength of 1.5418 Å).
Kinematic intensities with the Lorentz-polarization factor, no thermal factor.

Main lines, most intense first (2θ from 10° to 90°):
- d 3.396, 2θ 26.25, intensity 100
- d 2.709, 2θ 33.07, intensity 61
- d 3.223, 2θ 27.68, intensity 40
- d 2.086, 2θ 43.37, intensity 38
- d 3.509, 2θ 25.38, intensity 31
- d 1.915, 2θ 47.47, intensity 24
- d 2.421, 2θ 37.13, intensity 23
- d 2.381, 2θ 37.78, intensity 22
- d 2.015, 2θ 45.00, intensity 14
- d 3.602, 2θ 24.72, intensity 13
- d 3.053, 2θ 29.25, intensity 13
- d 1.698, 2θ 54.01, intensity 12

Crystal structure
Unit cell a=6.980 b=4.763 c=7.221 alpha=90.00 beta=93.96 gamma=90.00
Space group C2/m (No. 12)
Symmetry-distinct sites (fractional):
Sr 0.167 0.000 0.292 [4 per cell]
C 0.000 0.365 0.500 [4 per cell]
Cl 0.000 0.500 0.000 [2 per cell]

---

Entry 12:
For Cu7Ge2SbAu2, a GGA-PBE-relaxed structure gives the simulated powder diffraction line list in this record (a wavelength of 1.5418 Å).
Kinematic intensities with the Lorentz-polarization factor, no thermal factor.

Main lines, most intense first (2θ from 10° to 90°):
- d 2.252, 2θ 40.03, intensity 100
- d 2.304, 2θ 39.10, intensity 61
- d 1.951, 2θ 46.54, intensity 39
- d 2.806, 2θ 31.89, intensity 36
- d 1.403, 2θ 66.68, intensity 35
- d 2.017, 2θ 44.94, intensity 32
- d 3.279, 2θ 27.19, intensity 25
- d 1.757, 2θ 52.07, intensity 25
- d 1.191, 2θ 80.68, intensity 24
- d 2.057, 2θ 44.02, intensity 22
- d 1.857, 2θ 49.05, intensity 16
- d 4.033, 2θ 22.04, intensity 16

Crystal structure
Unit cell a=5.430 b=5.613 c=12.100 alpha=90.00 beta=90.00 gamma=90.00
Space group Cmmm (No. 65)
Symmetry-distinct sites (fractional):
Cu 0.000 0.000 0.000 [2 per cell]
Cu 0.242 0.500 0.500 [4 per cell]
Cu 0.250 0.250 0.159 [8 per cell]
Ge 0.000 0.500 0.324 [4 per cell]
Sb 0.000 0.500 0.000 [2 per cell]
Au 0.000 0.000 0.315 [4 per cell]